Theoretical X-ray diffraction stick pattern
Compound: CrHW
Radiation: Cu Kα (weighted mean of Kα1 and Kα2)
Structure: a cell relaxed with GGA-PBE

Largest 10 diffraction maxima, low angle first, 15° ≤ 2θ ≤ 90°:
index	2θ (°)	Rel. int.
0 1 0	19.99	84
1 0 -1	35.88	21
0 1 -2	36.03	21
0 0 2	39.77	100
0 2 0	40.57	85
-1 1 1	42.28	46
0 2 -2	43.27	42
1 1 1	53.93	19
1 -3 1	62.21	14
0 2 2	70.82	16

Crystal structure
```
data_CrHW
_cell_length_a 2.7319
_cell_length_b 4.9514
_cell_length_c 5.0395
_cell_angle_alpha 113.74
_cell_angle_beta 96.34
_cell_angle_gamma 97.82
_space_group_name_H-M_alt 'P -1'
_space_group_IT_number 2
loop_
_space_group_symop_operation_xyz
'x,y,z'
'-x,-y,-z'
loop_
_atom_site_label
_atom_site_type_symbol
_atom_site_fract_x
_atom_site_fract_y
_atom_site_fract_z
Cr1 Cr 0.1708 0.4669 0.2267
H1 H 0.2283 0.3174 0.5245
W1 W 0.3027 0.0292 0.7662
```

***

Theoretical X-ray diffraction stick pattern
Compound: La3SiAgSe7
Radiation: Cu Kα (weighted mean of Kα1 and Kα2)
Structure: a cell relaxed with GGA-PBE

Largest 10 diffraction maxima, low angle first, 15° ≤ 2θ ≤ 90°:
index	2θ (°)	Rel. int.
2 0 1	23.79	27
1 2 1	28.95	60
1 0 2	30.68	73
3 0 1	31.96	48
2 2 0	32.85	64
1 3 0	34.23	100
2 0 2	34.91	28
3 1 1	37.34	40
1 2 2	38.74	71
1 3 2	45.57	32

Crystal structure
```
data_La3SiAgSe7
_cell_length_a 10.9048
_cell_length_b 10.9048
_cell_length_c 6.1267
_cell_angle_alpha 90.00
_cell_angle_beta 90.00
_cell_angle_gamma 120.00
_space_group_name_H-M_alt 'P 63'
_space_group_IT_number 173
loop_
_space_group_symop_operation_xyz
'x,y,z'
'x-y,x,z+1/2'
'-y,x-y,z'
'-x,-y,z+1/2'
'-x+y,-x,z'
'y,-x+y,z+1/2'
loop_
_atom_site_label
_atom_site_type_symbol
_atom_site_fract_x
_atom_site_fract_y
_atom_site_fract_z
La1 La 0.1246 0.3573 0.0000
Si1 Si 0.3333 0.6667 0.5895
Ag1 Ag 0.0000 0.0000 0.4551
Se1 Se 0.0924 0.2679 0.4860
Se2 Se 0.1111 0.5882 0.7372
Se3 Se 0.3333 0.6667 0.2186
```

***

Theoretical X-ray diffraction stick pattern
Compound: CuNiHRuCSe
Radiation: Cu Kα (weighted mean of Kα1 and Kα2)
Structure: a cell relaxed with GGA-PBE

Largest 10 diffraction maxima, low angle first, 15° ≤ 2θ ≤ 90°:
index	2θ (°)	Rel. int.
1 0 -1	21.53	49
0 0 2	28.44	48
1 0 1	29.55	33
0 1 0	31.48	31
1 1 0	38.46	100
1 0 -3	41.48	42
1 1 -2	43.72	34
2 0 0	43.86	44
1 1 2	52.99	66
3 1 -3	76.99	22

Crystal structure
```
data_CuNiHRuCSe
_cell_length_a 4.3713
_cell_length_b 2.8417
_cell_length_c 6.6466
_cell_angle_alpha 90.00
_cell_angle_beta 109.21
_cell_angle_gamma 90.00
_space_group_name_H-M_alt 'P 1 m 1'
_space_group_IT_number 6
loop_
_space_group_symop_operation_xyz
'x,y,z'
'x,-y,z'
loop_
_atom_site_label
_atom_site_type_symbol
_atom_site_fract_x
_atom_site_fract_y
_atom_site_fract_z
Cu1 Cu 0.0000 0.0000 0.0000
Ni1 Ni 0.8305 0.5000 0.3158
H1 H 0.1656 0.0000 0.8020
Ru1 Ru 0.4543 0.5000 0.9195
C1 C 0.6577 0.0000 0.1316
Se1 Se 0.3896 0.5000 0.5303
```

***

Theoretical X-ray diffraction stick pattern
Compound: Ba3UFeS6
Radiation: Cu Kα (weighted mean of Kα1 and Kα2)
Structure: a cell relaxed with GGA-PBE

Largest 10 diffraction maxima, low angle first, 15° ≤ 2θ ≤ 90°:
index	2θ (°)	Rel. int.
2 0 2	21.52	42
1 1 3	24.85	57
3 0 0	25.37	100
1 3 1	31.35	37
0 2 4	31.82	37
2 1 4	35.16	40
2 2 3	35.81	44
2 3 2	39.69	34
3 2 4	46.45	42
3 0 6	48.56	31

Crystal structure
```
data_Ba3UFeS6
_cell_length_a 12.1604
_cell_length_b 12.1604
_cell_length_c 13.3074
_cell_angle_alpha 90.00
_cell_angle_beta 90.00
_cell_angle_gamma 120.00
_space_group_name_H-M_alt 'R -3 c'
_space_group_IT_number 167
_space_group_name_Hall '-R 3 2"c'
loop_
_atom_site_label
_atom_site_type_symbol
_atom_site_fract_x
_atom_site_fract_y
_atom_site_fract_z
Ba1 Ba 0.0000 0.3787 0.2500
U1 U 0.0000 0.0000 0.2500
Fe1 Fe 0.0000 0.0000 0.0000
S1 S 0.0252 0.1764 0.3840
```

***

Theoretical X-ray diffraction stick pattern
Compound: Ba2Ru3
Radiation: Cu Kα (weighted mean of Kα1 and Kα2)
Structure: a cell relaxed with GGA-PBE

Largest 10 diffraction maxima, low angle first, 15° ≤ 2θ ≤ 90°:
index	2θ (°)	Rel. int.
1 1 1	17.15	28
2 4 0	29.06	44
3 1 1	29.72	30
0 2 2	30.05	73
1 5 1	33.70	42
3 3 1	34.18	79
2 2 2	34.71	100
4 2 0	36.36	29
1 7 1	44.90	44
1 5 3	52.82	27

Crystal structure
```
data_Ba2Ru3
_cell_length_a 10.4518
_cell_length_b 15.1927
_cell_length_c 6.4629
_cell_angle_alpha 90.00
_cell_angle_beta 90.00
_cell_angle_gamma 90.00
_space_group_name_H-M_alt 'F d d 2'
_space_group_IT_number 43
_space_group_name_Hall 'F 2 -2d'
loop_
_atom_site_label
_atom_site_type_symbol
_atom_site_fract_x
_atom_site_fract_y
_atom_site_fract_z
Ba1 Ba 0.0861 0.2020 0.0000
Ru1 Ru 0.0000 0.0000 0.2949
Ru2 Ru 0.0966 0.1295 0.4752
```

***

Theoretical X-ray diffraction stick pattern
Compound: NdTiCdSbO7
Radiation: Cu Kα (weighted mean of Kα1 and Kα2)
Structure: a cell relaxed with GGA-PBE

Largest 10 diffraction maxima, low angle first, 15° ≤ 2θ ≤ 90°:
index	2θ (°)	Rel. int.
2 0 2	29.67	100
0 0 4	34.28	11
2 2 0	34.44	20
2 2 4	49.38	30
4 0 0	49.50	15
2 0 6	58.56	14
4 2 2	58.78	26
4 0 4	61.59	10
4 2 6	80.16	11
4 4 4	82.86	8

Crystal structure
```
data_NdTiCdSbO7
_cell_length_a 7.3650
_cell_length_b 7.3650
_cell_length_c 10.4645
_cell_angle_alpha 90.00
_cell_angle_beta 90.00
_cell_angle_gamma 90.00
_space_group_name_H-M_alt 'P 41 2 2'
_space_group_IT_number 91
loop_
_space_group_symop_operation_xyz
'x,y,z'
'-y,x,z+1/4'
'-x,-y,z+1/2'
'y,-x,z+3/4'
'x,-y,-z+1/2'
'-y,-x,-z+1/4'
'-x,y,-z'
'y,x,-z+3/4'
loop_
_atom_site_label
_atom_site_type_symbol
_atom_site_fract_x
_atom_site_fract_y
_atom_site_fract_z
Nd1 Nd 0.0000 0.2643 0.0000
Ti1 Ti 0.0000 0.2381 0.5000
Cd1 Cd 0.2657 0.5000 0.7500
Sb1 Sb 0.2436 0.5000 0.2500
O1 O 0.0470 0.0470 0.3750
O2 O 0.0542 0.4443 0.3806
O3 O 0.2355 0.2497 0.1782
O4 O 0.2609 0.2609 0.8750
O5 O 0.4480 0.4480 0.3750
```